No. 1
Starting from a DFT-relaxed cell (PBE, the Materials Project), the powder X-ray diffraction pattern of Nd3In4Ge was simulated for Cu Kα X-rays.

Structure:
a = 8.614 Å, b = 8.614 Å, c = 12.070 Å
α = 90.00°, β = 90.00°, γ = 90.00°
Space group I4/mcm (No. 140)
Inequivalent atoms, fractional coordinates:
Nd: 0.000 0.000 0.250 [4 per cell]
Nd: 0.165 0.335 0.000 [8 per cell]
In: 0.141 0.359 0.323 [16 per cell]
Ge: 0.000 0.000 0.000 [4 per cell]

Main lines, low angle first (2θ from 5° to 70°):
29.33°, rel. 9; 32.17°, rel. 100; 32.88°, rel. 58; 44.05°, rel. 9; 44.83°, rel. 11; 47.19°, rel. 9; 49.14°, rel. 11; 62.48°, rel. 19; 63.26°, rel. 8; 65.30°, rel. 10

No. 2
Starting from a DFT-relaxed cell (PBE, the Materials Project), the powder X-ray diffraction pattern of Nd2InGe2 was simulated for Cu Kα X-rays.

Structure:
a = 7.596 Å, b = 7.596 Å, c = 4.362 Å
α = 90.00°, β = 90.00°, γ = 90.00°
Space group P4/mbm (No. 127)
Inequivalent atoms, fractional coordinates:
Nd: 0.179 0.321 0.000 [4 per cell]
In: 0.000 0.000 0.500 [2 per cell]
Ge: 0.119 0.619 0.500 [4 per cell]

Main lines, low angle first (2θ from 5° to 70°):
26.27°, rel. 16; 31.23°, rel. 54; 33.42°, rel. 100; 37.44°, rel. 32; 41.40°, rel. 20; 49.47°, rel. 11; 54.02°, rel. 16; 55.48°, rel. 12; 57.04°, rel. 19; 66.30°, rel. 12

No. 3
Starting from a DFT-relaxed cell (PBE, the Materials Project), the powder X-ray diffraction pattern of Pr7In6Ni5Ge3 was simulated for Cu Kα X-rays.

Structure:
a = 11.4692 Å, b = 11.4692 Å, c = 4.1978 Å
α = 90.00°, β = 90.00°, γ = 120.00°
Space group P-6 (No. 174)
Inequivalent atoms, fractional coordinates:
Pr: 0.0000 0.0000 0.0000 [1 per cell]
Pr: 0.0753 0.6961 0.0000 [3 per cell]
Pr: 0.3789 0.0833 0.0000 [3 per cell]
In: 0.1639 0.5198 0.5000 [3 per cell]
In: 0.5141 0.3481 0.5000 [3 per cell]
Ni: 0.2466 0.1634 0.5000 [3 per cell]
Ni: 0.3333 0.6667 0.0000 [1 per cell]
Ni: 0.6667 0.3333 0.0000 [1 per cell]
Ge: 0.0784 0.2318 0.5000 [3 per cell]

Main lines, low angle first (2θ from 5° to 70°):
31.98°, rel. 100; 32.50°, rel. 23; 34.50°, rel. 66; 39.55°, rel. 28; 41.67°, rel. 15; 43.10°, rel. 24; 48.50°, rel. 10; 55.00°, rel. 10; 56.01°, rel. 16; 59.92°, rel. 16

No. 4
Starting from a DFT-relaxed cell (PBE, the Materials Project), the powder X-ray diffraction pattern of In2Ge2O7 was simulated for Cu Kα X-rays.

Structure:
a = 9.890 Å, b = 9.890 Å, c = 9.890 Å
α = 90.00°, β = 90.00°, γ = 90.00°
Space group Fd-3m (No. 227, origin choice 2)
Inequivalent atoms, fractional coordinates:
In: 0.000 0.000 0.000 [16 per cell]
Ge: 0.000 0.000 0.500 [16 per cell]
O: 0.079 0.375 0.875 [48 per cell]
O: 0.125 0.125 0.125 [8 per cell]

Main lines, low angle first (2θ from 5° to 70°):
15.52°, rel. 4; 29.96°, rel. 1; 31.33°, rel. 100; 36.33°, rel. 28; 39.72°, rel. 7; 47.79°, rel. 3; 52.33°, rel. 47; 54.92°, rel. 1; 62.27°, rel. 40; 65.37°, rel. 9

No. 5
Starting from a DFT-relaxed cell (PBE, the Materials Project), the powder X-ray diffraction pattern of In2Ge2O7 was simulated for Cu Kα X-rays.

Structure:
a = 6.762 Å, b = 8.968 Å, c = 5.010 Å
α = 90.00°, β = 102.52°, γ = 90.00°
Space group C2/m (No. 12)
Inequivalent atoms, fractional coordinates:
In: 0.000 0.192 0.000 [4 per cell]
Ge: 0.233 0.500 0.405 [4 per cell]
O: 0.000 0.500 0.500 [2 per cell]
O: 0.090 0.000 0.274 [4 per cell]
O: 0.239 0.335 0.211 [8 per cell]

Main lines, low angle first (2θ from 5° to 70°):
16.68°, rel. 17; 26.84°, rel. 40; 26.98°, rel. 100; 29.18°, rel. 53; 32.89°, rel. 23; 33.72°, rel. 34; 35.98°, rel. 15; 45.83°, rel. 18; 52.48°, rel. 24; 58.76°, rel. 23